Entry 1:
Pm3SmI8: computed powder XRD pattern (copper Kα), based on a cell relaxed with PBE.
No peak broadening, texture or thermal motion is included.

Principal peaks in the range 2θ = 10–90°, sorted by position:
- 10.86 deg, I 43
- 24.72 deg, I 20
- 28.53 deg, I 100
- 38.46 deg, I 45
- 43.02 deg, I 32
- 44.49 deg, I 18
- 52.44 deg, I 18
- 63.60 deg, I 20

Atomic structure:
Cell: 8.407 8.407 9.485 Å, 116.30 116.30 60.06°
Positions (direct):
Pm  0.000  0.000  0.000
Pm  0.000  0.500  0.000
Pm  0.500  0.000  0.000
Sm  0.500  0.500  0.000
I  0.250  0.250  0.250
I  0.251  0.251  0.751
I  0.251  0.749  0.249
I  0.251  0.749  0.751
I  0.749  0.251  0.249
I  0.749  0.251  0.751
I  0.749  0.749  0.249
I  0.750  0.750  0.750

Entry 2:
AcDyY6Ho2: computed powder XRD pattern (copper Kα), based on a cell relaxed with PBE.
No peak broadening, texture or thermal motion is included.

Principal peaks in the range 2θ = 10–90°, sorted by position:
- 28.04 deg, I 82
- 28.25 deg, I 56
- 30.22 deg, I 59
- 30.47 deg, I 100
- 30.58 deg, I 78
- 30.85 deg, I 56
- 31.30 deg, I 61
- 34.04 deg, I 47

Atomic structure:
Cell: 8.934 8.934 9.531 Å, 92.62 92.62 117.30°
Positions (direct):
Ac  0.031  0.969  0.750
Ac  0.969  0.031  0.250
Dy  0.413  0.587  0.250
Dy  0.587  0.413  0.750
Y  0.010  0.554  0.681
Y  0.127  0.755  0.058
Y  0.245  0.873  0.442
Y  0.288  0.512  0.887
Y  0.446  0.990  0.819
Y  0.488  0.712  0.613
Y  0.512  0.288  0.387
Y  0.554  0.010  0.181
Y  0.712  0.488  0.113
Y  0.755  0.127  0.558
Y  0.873  0.245  0.942
Y  0.990  0.446  0.319
Ho  0.202  0.314  0.552
Ho  0.314  0.202  0.052
Ho  0.686  0.798  0.948
Ho  0.798  0.686  0.448

Entry 3:
TaW3: computed powder XRD pattern (copper Kα), based on a cell relaxed with PBE.
No peak broadening, texture or thermal motion is included.

Principal peaks in the range 2θ = 10–90°, sorted by position:
- 39.62 deg, I 100
- 39.79 deg, I 99
- 57.41 deg, I 34
- 71.77 deg, I 18
- 72.12 deg, I 35
- 72.23 deg, I 17
- 85.34 deg, I 11
- 85.78 deg, I 11

Atomic structure:
Cell: 2.792 4.532 5.312 Å, 90.00 100.06 90.00°
Positions (direct):
Ta  0.000  0.000  0.000
W  0.254  0.500  0.749
W  0.500  0.000  0.500
W  0.746  0.500  0.251